# 1
This entry pairs a crystal structure of MnSb2O6 with its simulated powder diffractogram. Radiation: copper Kα. Structure: DFT lattice parameters and positions (GGA+U).
No peak broadening, texture or thermal motion is included.

Most intense lines, 2θ = 5–70°, by intensity:
2theta, Rel. int.
26.30, 100
33.82, 75
51.41, 65
37.54, 20
65.37, 20
54.13, 16
20.74, 16
64.74, 14
61.16, 14
57.97, 8

Crystal structure
```
MnSb2O6
1.0
4.792 0.000 0.000
0.000 4.792 0.000
0.000 0.000 9.545
Mn Sb O
2 4 12
Direct
0.000 0.000 0.000
0.500 0.500 0.500
0.000 0.000 0.332
0.000 0.000 0.668
0.500 0.500 0.168
0.500 0.500 0.832
0.185 0.185 0.500
0.201 0.201 0.176
0.201 0.201 0.824
0.299 0.701 0.324
0.299 0.701 0.676
0.315 0.685 0.000
0.685 0.315 0.000
0.701 0.299 0.324
0.701 0.299 0.676
0.799 0.799 0.176
0.799 0.799 0.824
0.815 0.815 0.500
```



# 2
This entry pairs a crystal structure of MnSb2O6 with its simulated powder diffractogram. Radiation: copper Kα. Structure: DFT lattice parameters and positions (GGA+U).
No peak broadening, texture or thermal motion is included.

Most intense lines, 2θ = 5–70°, by intensity:
2theta, Rel. int.
27.24, 100
51.99, 73
34.74, 63
29.62, 50
21.77, 34
35.92, 34
39.62, 26
55.09, 26
19.85, 24
18.47, 24

Crystal structure
```
MnSb2O6
1.0
8.946 0.000 0.000
-4.473 7.748 0.000
0.000 0.000 4.804
Mn Sb O
3 6 18
Direct
0.000 0.633 0.000
0.367 0.367 0.000
0.633 0.000 0.000
0.000 0.000 0.000
0.000 0.305 0.500
0.305 0.000 0.500
0.333 0.667 0.508
0.667 0.333 0.492
0.695 0.695 0.500
0.103 0.890 0.764
0.110 0.214 0.764
0.117 0.528 0.730
0.214 0.110 0.236
0.221 0.446 0.282
0.225 0.779 0.282
0.411 0.883 0.730
0.446 0.221 0.718
0.472 0.589 0.730
0.528 0.117 0.270
0.554 0.775 0.282
0.589 0.472 0.270
0.775 0.554 0.718
0.779 0.225 0.718
0.786 0.897 0.764
0.883 0.411 0.270
0.890 0.103 0.236
0.897 0.786 0.236
```



# 3
This entry pairs a crystal structure of Mn9Zn6Si4Sb2O28 with its simulated powder diffractogram. Radiation: copper Kα. Structure: DFT lattice parameters and positions (GGA+U).
No peak broadening, texture or thermal motion is included.

Most intense lines, 2θ = 5–70°, by intensity:
2theta, Rel. int.
29.20, 100
31.77, 49
56.75, 43
34.06, 43
35.85, 40
34.30, 39
34.75, 33
32.18, 31
41.29, 22
56.08, 22

Crystal structure
```
Mn9Zn6Si4Sb2O28
1.0
5.599 0.000 0.000
1.747 9.176 0.000
2.790 0.117 11.480
Mn Zn Si Sb O
9 6 4 2 28
Direct
0.000 0.000 0.000
0.079 0.358 0.283
0.279 0.003 0.425
0.364 0.350 0.708
0.426 0.003 0.144
0.574 0.997 0.856
0.636 0.650 0.292
0.721 0.997 0.575
0.921 0.642 0.717
0.051 0.674 0.428
0.202 0.663 0.139
0.340 0.664 0.862
0.660 0.336 0.138
0.798 0.337 0.861
0.949 0.326 0.572
0.244 0.307 0.997
0.477 0.688 0.577
0.523 0.312 0.423
0.756 0.693 0.003
0.138 0.000 0.719
0.862 0.000 0.281
0.018 0.591 0.285
0.030 0.106 0.582
0.059 0.646 0.999
0.117 0.123 0.285
0.118 0.885 0.154
0.221 0.357 0.436
0.269 0.884 0.847
0.308 0.127 0.996
0.313 0.367 0.112
0.329 0.612 0.697
0.390 0.650 0.461
0.405 0.871 0.589
0.413 0.114 0.708
0.420 0.371 0.878
0.580 0.629 0.122
0.587 0.886 0.292
0.595 0.129 0.411
0.610 0.350 0.539
0.671 0.388 0.303
0.687 0.633 0.888
0.692 0.873 0.004
0.731 0.116 0.153
0.779 0.643 0.564
0.882 0.115 0.846
0.883 0.877 0.715
0.941 0.354 0.001
0.970 0.894 0.418
0.982 0.409 0.715
```



# 4
This entry pairs a crystal structure of Sm2MnSbO7 with its simulated powder diffractogram. Radiation: copper Kα. Structure: DFT lattice parameters and positions (GGA+U).
No peak broadening, texture or thermal motion is included.

Most intense lines, 2θ = 5–70°, by intensity:
2theta, Rel. int.
29.10, 100
29.98, 94
49.17, 61
34.28, 40
57.73, 29
59.26, 26
34.15, 21
48.12, 17
14.43, 17
50.40, 14

Crystal structure
```
Sm2MnSbO7
1.0
-3.621 3.782 5.251
3.621 -3.782 5.251
3.621 3.782 -5.251
Sm Mn Sb O
4 2 2 14
Direct
0.000 0.000 0.000
0.500 0.000 0.000
0.500 0.000 0.500
0.500 0.500 0.500
0.000 0.000 0.500
0.000 0.500 0.000
0.000 0.500 0.500
0.500 0.500 0.000
0.079 0.829 0.250
0.091 0.421 0.261
0.091 0.830 0.670
0.326 0.576 0.750
0.341 0.170 0.761
0.341 0.579 0.170
0.372 0.122 0.250
0.628 0.878 0.750
0.659 0.421 0.830
0.659 0.830 0.239
0.674 0.424 0.250
0.909 0.170 0.330
0.909 0.579 0.739
0.921 0.171 0.750
```



# 5
This entry pairs a crystal structure of Mn2TcSbO6 with its simulated powder diffractogram. Radiation: copper Kα. Structure: DFT lattice parameters and positions (GGA+U).
No peak broadening, texture or thermal motion is included.

Most intense lines, 2θ = 5–70°, by intensity:
2theta, Rel. int.
31.40, 100
32.83, 85
22.56, 55
46.07, 43
50.91, 39
57.72, 38
58.62, 30
54.97, 13
68.64, 11
68.84, 10

Crystal structure
```
Mn2TcSbO6
1.0
2.728 1.575 4.762
-2.728 1.575 4.762
0.000 -3.150 4.762
Mn Tc Sb O
2 1 1 6
Direct
0.000 0.000 0.000
0.498 0.498 0.498
0.786 0.786 0.786
0.281 0.281 0.281
0.060 0.674 0.418
0.164 0.583 0.896
0.418 0.060 0.674
0.583 0.896 0.164
0.674 0.418 0.060
0.896 0.164 0.583
```



# 6
This entry pairs a crystal structure of TmMn2SbO6 with its simulated powder diffractogram. Radiation: copper Kα. Structure: DFT lattice parameters and positions (GGA+U).
No peak broadening, texture or thermal motion is included.

Most intense lines, 2θ = 5–70°, by intensity:
2theta, Rel. int.
30.94, 100
32.66, 86
22.35, 75
50.19, 41
45.61, 41
57.22, 38
58.29, 27
52.51, 13
53.93, 13
67.21, 13

Crystal structure
```
TmMn2SbO6
1.0
2.742 1.583 4.856
-2.742 1.583 4.856
0.000 -3.166 4.856
Tm Mn Sb O
1 2 1 6
Direct
0.000 0.000 0.000
0.215 0.215 0.215
0.721 0.721 0.721
0.507 0.507 0.507
0.142 0.400 0.771
0.305 0.878 0.608
0.400 0.771 0.142
0.608 0.305 0.878
0.771 0.142 0.400
0.878 0.608 0.305
```



# 7
This entry pairs a crystal structure of Tm2MnSbO6 with its simulated powder diffractogram. Radiation: copper Kα. Structure: DFT lattice parameters and positions (GGA+U).
No peak broadening, texture or thermal motion is included.

Most intense lines, 2θ = 5–70°, by intensity:
2theta, Rel. int.
29.47, 100
34.51, 33
58.76, 29
48.83, 26
16.55, 24
49.60, 18
41.73, 17
57.38, 11
33.46, 11
66.78, 8

Crystal structure
```
Tm2MnSbO6
1.0
5.198 0.000 0.000
0.000 5.198 0.000
0.000 0.000 5.355
Tm Mn Sb O
2 1 1 6
Direct
0.000 0.500 0.000
0.500 0.000 0.000
0.000 0.000 0.563
0.500 0.500 0.591
0.000 0.000 0.186
0.253 0.253 0.766
0.253 0.747 0.766
0.500 0.500 0.196
0.747 0.253 0.766
0.747 0.747 0.766
```



# 8
This entry pairs a crystal structure of Mn2VSbO6 with its simulated powder diffractogram. Radiation: copper Kα. Structure: DFT lattice parameters and positions (GGA+U).
No peak broadening, texture or thermal motion is included.

Most intense lines, 2θ = 5–70°, by intensity:
2theta, Rel. int.
29.84, 100
33.16, 38
18.41, 35
47.60, 30
57.20, 29
44.45, 27
50.76, 20
16.41, 15
67.16, 14
67.88, 14

Crystal structure
```
Mn2VSbO6
1.0
5.403 0.000 0.000
0.000 5.403 0.000
0.000 0.000 4.820
Mn V Sb O
2 1 1 6
Direct
0.000 0.500 0.000
0.500 0.000 0.000
0.000 0.000 0.632
0.500 0.500 0.629
0.000 0.000 0.280
0.243 0.243 0.779
0.243 0.757 0.779
0.500 0.500 0.223
0.757 0.243 0.779
0.757 0.757 0.779
```



# 9
This entry pairs a crystal structure of MnV2SbO8 with its simulated powder diffractogram. Radiation: copper Kα. Structure: DFT lattice parameters and positions (GGA+U).
No peak broadening, texture or thermal motion is included.

Most intense lines, 2θ = 5–70°, by intensity:
2theta, Rel. int.
34.85, 100
27.74, 73
27.57, 71
53.78, 47
53.59, 45
68.67, 29
40.16, 23
24.17, 22
66.62, 21
39.51, 19

Crystal structure
```
MnV2SbO8
1.0
3.216 -3.235 0.000
3.216 3.235 0.000
0.000 0.000 6.237
Mn V Sb O
1 2 1 8
Direct
0.000 0.000 0.000
0.500 0.500 0.244
0.500 0.500 0.756
0.000 0.000 0.500
0.204 0.796 0.257
0.204 0.796 0.743
0.306 0.306 0.000
0.308 0.308 0.500
0.692 0.692 0.500
0.694 0.694 0.000
0.796 0.204 0.257
0.796 0.204 0.743
```



# 10
This entry pairs a crystal structure of Y3Mn2Sb3O14 with its simulated powder diffractogram. Radiation: copper Kα. Structure: DFT lattice parameters and positions (GGA+U).
No peak broadening, texture or thermal motion is included.

Most intense lines, 2θ = 5–70°, by intensity:
2theta, Rel. int.
29.44, 100
48.77, 36
34.48, 36
30.63, 32
50.33, 30
58.70, 27
58.00, 15
60.07, 13
61.09, 8
17.04, 8

Crystal structure
```
Y3Mn2Sb3O14
1.0
3.734 2.156 5.838
-3.734 2.156 5.838
0.000 -4.312 5.838
Y Mn Sb O
3 2 3 14
Direct
0.000 0.500 0.500
0.500 0.000 0.500
0.500 0.500 0.000
0.000 0.000 0.000
0.500 0.500 0.500
0.000 0.000 0.500
0.000 0.500 0.000
0.500 0.000 0.000
0.083 0.677 0.677
0.097 0.097 0.642
0.097 0.642 0.097
0.323 0.323 0.917
0.323 0.917 0.323
0.358 0.903 0.903
0.381 0.381 0.381
0.619 0.619 0.619
0.642 0.097 0.097
0.677 0.083 0.677
0.677 0.677 0.083
0.903 0.358 0.903
0.903 0.903 0.358
0.917 0.323 0.323
```



# 11
This entry pairs a crystal structure of ZrMn2SbO6 with its simulated powder diffractogram. Radiation: copper Kα. Structure: DFT lattice parameters and positions (GGA+U).
No peak broadening, texture or thermal motion is included.

Most intense lines, 2θ = 5–70°, by intensity:
2theta, Rel. int.
29.59, 100
31.26, 83
31.37, 77
30.60, 71
32.75, 68
33.80, 61
22.72, 49
22.57, 42
43.32, 40
56.01, 34

Crystal structure
```
ZrMn2SbO6
1.0
5.315 0.000 0.000
2.419 4.927 0.000
2.351 1.820 4.968
Zr Mn Sb O
1 2 1 6
Direct
0.000 0.000 0.000
0.278 0.323 0.097
0.786 0.784 0.633
0.529 0.476 0.460
0.079 0.395 0.826
0.157 0.983 0.288
0.372 0.698 0.864
0.585 0.175 0.294
0.705 0.123 0.773
0.904 0.603 0.302
```